Entry 1:
CaLa12Sm3: theoretical X-ray diffraction stick pattern (a wavelength of 1.5418 Å), based on a structure optimized by DFT (GGA-PBE).
No peak broadening, texture or thermal motion is included.

Main lines, low angle first (2θ from 5° to 70°):
10.522 Å, 8.40 deg, I 2; 5.106 Å, 17.37 deg, I 1; 4.707 Å, 18.85 deg, I 1; 3.038 Å, 29.40 deg, I 100; 2.631 Å, 34.07 deg, I 51; 1.861 Å, 48.96 deg, I 36; 1.587 Å, 58.14 deg, I 43; 1.519 Å, 60.99 deg, I 12

Structure:
abc: 5.263 5.263 21.045
angles: 90.00 90.00 90.00
Sites, in units of the cell vectors:
Ca 0.000 0.000 0.000
La 0.000 0.500 0.129
La 0.000 0.500 0.376
La 0.000 0.500 0.624
La 0.000 0.500 0.871
La 0.500 0.000 0.129
La 0.500 0.000 0.376
La 0.500 0.000 0.624
La 0.500 0.000 0.871
La 0.500 0.500 0.000
La 0.500 0.500 0.251
La 0.500 0.500 0.500
La 0.500 0.500 0.749
Sm 0.000 0.000 0.251
Sm 0.000 0.000 0.500
Sm 0.000 0.000 0.749

=====

Entry 2:
Hf2ScOs2: theoretical X-ray diffraction stick pattern (a wavelength of 1.5418 Å), based on a structure optimized by DFT (GGA-PBE).
No peak broadening, texture or thermal motion is included.

Main lines, low angle first (2θ from 5° to 70°):
11.819 Å, 7.48 deg, I 10; 4.364 Å, 20.35 deg, I 13; 2.364 Å, 38.07 deg, I 21; 2.348 Å, 38.34 deg, I 33; 2.333 Å, 38.60 deg, I 100; 1.666 Å, 55.14 deg, I 15; 1.359 Å, 69.14 deg, I 11; 1.353 Å, 69.50 deg, I 18

Structure:
abc: 11.931 11.931 4.696
angles: 90.00 90.00 164.26
Sites, in units of the cell vectors:
Hf 0.048 0.952 0.750
Hf 0.234 0.766 0.750
Hf 0.766 0.234 0.250
Hf 0.952 0.048 0.250
Sc 0.143 0.857 0.250
Sc 0.857 0.143 0.750
Os 0.355 0.645 0.250
Os 0.453 0.547 0.750
Os 0.547 0.453 0.250
Os 0.645 0.355 0.750